Structure and calculated powder XRD pattern of Ca3Mn2Si4O14 (a crystal structure in Alexandria, relaxed with GGA+U; Cu Kα X-rays).
No peak broadening, texture or thermal motion is included.

Largest 10 diffraction maxima, low angle first, 2θ = 10–90°:
Position (°2θ)  intensity
13.0  29
27.5  85
28.4  24
28.7  72
29.7  26
31.2  100
32.0  64
35.3  33
39.1  60
51.1  27

Atomic structure:
abc: 9.414 9.414 10.175
angles: 120.00 120.00 48.62
Fractional coordinates of all 46 atoms:
Ca  0.154  0.846  0.750
Ca  0.268  0.340  0.541
Ca  0.340  0.268  0.041
Ca  0.660  0.732  0.959
Ca  0.732  0.660  0.459
Ca  0.846  0.154  0.250
Mn  0.285  0.715  0.250
Mn  0.500  0.500  0.000
Mn  0.500  0.500  0.500
Mn  0.715  0.285  0.750
Si  0.030  0.716  0.354
Si  0.036  0.609  0.841
Si  0.284  0.970  0.146
Si  0.391  0.964  0.659
Si  0.609  0.036  0.341
Si  0.716  0.030  0.854
Si  0.964  0.391  0.159
Si  0.970  0.284  0.646
O  0.004  0.553  0.185
O  0.030  0.605  0.678
O  0.042  0.852  0.310
O  0.148  0.958  0.190
O  0.154  0.177  0.093
O  0.177  0.154  0.593
O  0.201  0.625  0.503
O  0.237  0.557  0.982
O  0.375  0.799  0.997
O  0.395  0.472  0.281
O  0.395  0.970  0.822
O  0.443  0.763  0.518
O  0.447  0.996  0.315
O  0.472  0.395  0.781
O  0.528  0.605  0.219
O  0.553  0.004  0.685
O  0.557  0.237  0.482
O  0.605  0.030  0.178
O  0.605  0.528  0.719
O  0.625  0.201  0.003
O  0.763  0.443  0.018
O  0.799  0.375  0.497
O  0.823  0.846  0.407
O  0.846  0.823  0.907
O  0.852  0.042  0.810
O  0.958  0.148  0.690
O  0.970  0.395  0.322
O  0.996  0.447  0.815